1.
# Ni2Pt7
Computed powder X-ray diffraction pattern, Cu Kα, 1.54184 Å. Input: a crystal structure in Alexandria, relaxed with GGA-PBE.
Kinematic intensities with the Lorentz-polarization factor, no thermal factor.

The 8 most intense peaks (5 to 70 degrees two-theta), low angle first:
| d [Å] | Rel. int. | index |
| --- | --- | --- |
| 6.743 | 7 | 0 0 1 |
| 3.530 | 5 | 1 0 1 |
| 3.371 | 6 | 0 0 2 |
| 2.255 | 100 | 1 1 1 |
| 2.248 | 31 | 0 0 3 |
| 1.951 | 62 | 2 -1 2 |
| 1.381 | 20 | 3 0 0 |
| 1.378 | 21 | 1 1 4 |

Atomic structure:
```
data_Ni2Pt7
_chemical_formula_sum 'Ni2 Pt7'
_space_group_name_H-M_alt 'P -3 1 m'
_space_group_IT_number 162
_space_group_name_Hall '-P 3 2'
_cell_length_a 4.7851
_cell_length_b 4.7851
_cell_length_c 6.7426
_cell_angle_alpha 90.00
_cell_angle_beta 90.00
_cell_angle_gamma 120.00
loop_
_atom_site_label
_atom_site_type_symbol
_atom_site_fract_x
_atom_site_fract_y
_atom_site_fract_z
_atom_site_occupancy
Ni1 Ni 0.3333 0.6667 0.0000 1
Pt1 Pt 0.0000 0.0000 0.0000 1
Pt2 Pt 0.0000 0.3374 0.6769 1
```



2.
# CoTeCl6
Computed powder X-ray diffraction pattern, Cu Kα, 1.54184 Å. Input: a crystal structure in Alexandria, relaxed with GGA-PBE.
Kinematic intensities with the Lorentz-polarization factor, no thermal factor.

The 8 most intense peaks (5 to 70 degrees two-theta), low angle first:
| d [Å] | Rel. int. | index |
| --- | --- | --- |
| 6.254 | 100 | 0 2 0 |
| 4.708 | 78 | 1 1 -1 |
| 3.525 | 23 | 1 1 1 |
| 2.756 | 63 | 1 3 1 |
| 2.541 | 28 | 2 0 -2 |
| 2.156 | 27 | 2 4 0 |
| 2.068 | 19 | 1 5 1 |
| 1.868 | 37 | 3 3 -1 |

Atomic structure:
```
data_CoTeCl6
_chemical_formula_sum 'Co2 Te2 Cl12'
_space_group_name_H-M_alt 'C 1 2/m 1'
_space_group_IT_number 12
_cell_length_a 6.271
_cell_length_b 12.508
_cell_length_c 6.269
_cell_angle_alpha 90.00
_cell_angle_beta 108.27
_cell_angle_gamma 90.00
loop_
_space_group_symop_operation_xyz
'x,y,z'
'-x,-y,-z'
'-x,y,-z'
'x,-y,z'
'x+1/2,y+1/2,z'
'-x+1/2,-y+1/2,-z'
'-x+1/2,y+1/2,-z'
'x+1/2,-y+1/2,z'
loop_
_atom_site_label
_atom_site_type_symbol
_atom_site_fract_x
_atom_site_fract_y
_atom_site_fract_z
_atom_site_occupancy
Co1 Co 0.000 0.000 0.000 1
Te1 Te 0.000 0.500 0.500 1
Cl1 Cl 0.233 0.136 0.233 1
Cl2 Cl 0.250 0.000 0.751 1
```



3.
# Sr2InSn2
Computed powder X-ray diffraction pattern, Cu Kα, 1.54184 Å. Input: a crystal structure in Alexandria, relaxed with GGA-PBE.
Kinematic intensities with the Lorentz-polarization factor, no thermal factor.

The 8 most intense peaks (5 to 70 degrees two-theta), low angle first:
| d [Å] | Rel. int. | index |
| --- | --- | --- |
| 5.069 | 14 | 0 0 2 |
| 3.149 | 21 | 2 0 2 |
| 2.932 | 100 | 2 1 2 |
| 2.541 | 39 | 3 1 0 |
| 2.534 | 21 | 0 0 4 |
| 1.795 | 24 | 3 1 4 |
| 1.529 | 14 | 2 1 6 |
| 1.432 | 13 | 5 2 2 |

Atomic structure:
```
data_Sr2InSn2
_chemical_formula_sum 'Sr8 In4 Sn8'
_space_group_name_H-M_alt 'P 4/m n c'
_space_group_IT_number 128
_space_group_name_Hall '-P 4 2n'
_cell_length_a 8.037
_cell_length_b 8.037
_cell_length_c 10.137
_cell_angle_alpha 90.00
_cell_angle_beta 90.00
_cell_angle_gamma 90.00
loop_
_atom_site_label
_atom_site_type_symbol
_atom_site_fract_x
_atom_site_fract_y
_atom_site_fract_z
_atom_site_occupancy
Sr1 Sr 0.168 0.328 0.000 1
In1 In 0.000 0.000 0.212 1
Sn1 Sn 0.131 0.631 0.250 1
```



4.
# RuBr6
Computed powder X-ray diffraction pattern, Cu Kα, 1.54184 Å. Input: a crystal structure in Alexandria, relaxed with GGA-PBE.
Kinematic intensities with the Lorentz-polarization factor, no thermal factor.

The 8 most intense peaks (5 to 70 degrees two-theta), low angle first:
| d [Å] | Rel. int. | index |
| --- | --- | --- |
| 6.314 | 82 | 0 2 0 |
| 5.434 | 39 | 1 0 1 |
| 5.133 | 30 | 2 1 0 |
| 3.369 | 35 | 2 3 0 |
| 2.992 | 37 | 1 0 2 |
| 2.961 | 100 | 2 3 1 |
| 2.912 | 32 | 1 1 2 |
| 2.551 | 64 | 3 3 1 |

Atomic structure:
```
data_RuBr6
_chemical_formula_sum 'Ru4 Br24'
_space_group_name_H-M_alt 'P n m a'
_space_group_IT_number 62
_cell_length_a 11.236
_cell_length_b 12.628
_cell_length_c 6.209
_cell_angle_alpha 90.00
_cell_angle_beta 90.00
_cell_angle_gamma 90.00
loop_
_space_group_symop_operation_xyz
'x,y,z'
'-x,-y,-z'
'-x+1/2,-y,z+1/2'
'x+1/2,y,-z+1/2'
'x+1/2,-y+1/2,-z+1/2'
'-x+1/2,y+1/2,z+1/2'
'-x,y+1/2,-z'
'x,-y+1/2,z'
loop_
_atom_site_label
_atom_site_type_symbol
_atom_site_fract_x
_atom_site_fract_y
_atom_site_fract_z
_atom_site_occupancy
Ru1 Ru 0.108 0.250 0.021 1
Br1 Br 0.009 0.250 0.657 1
Br2 Br 0.037 0.613 0.859 1
Br3 Br 0.204 0.250 0.378 1
Br4 Br 0.245 0.110 0.896 1
```



5.
# NdGaCo2C
Computed powder X-ray diffraction pattern, Cu Kα, 1.54184 Å. Input: a crystal structure in Alexandria, relaxed with GGA-PBE.
Kinematic intensities with the Lorentz-polarization factor, no thermal factor.

The 8 most intense peaks (5 to 70 degrees two-theta), low angle first:
| d [Å] | Rel. int. | index |
| --- | --- | --- |
| 2.648 | 31 | 1 3 0 |
| 2.537 | 100 | 1 1 2 |
| 2.491 | 55 | 0 4 1 |
| 2.474 | 86 | 1 3 1 |
| 2.124 | 21 | 0 2 3 |
| 1.982 | 35 | 2 0 0 |
| 1.743 | 24 | 1 3 3 |
| 1.551 | 25 | 2 4 1 |

Atomic structure:
```
data_NdGaCo2C
_chemical_formula_sum 'Nd4 Ga4 Co8 C4'
_space_group_name_H-M_alt 'C m c m'
_space_group_IT_number 63
_space_group_name_Hall '-C 2c 2'
_cell_length_a 3.963
_cell_length_b 10.675
_cell_length_c 6.947
_cell_angle_alpha 90.00
_cell_angle_beta 90.00
_cell_angle_gamma 90.00
loop_
_atom_site_label
_atom_site_type_symbol
_atom_site_fract_x
_atom_site_fract_y
_atom_site_fract_z
_atom_site_occupancy
Nd1 Nd 0.000 0.056 0.250 1
Ga1 Ga 0.000 0.226 0.750 1
Co1 Co 0.000 0.340 0.062 1
C1 C 0.000 0.500 0.000 1
```



6.
# AcPmEr
Computed powder X-ray diffraction pattern, Cu Kα, 1.54184 Å. Input: a crystal structure in Alexandria, relaxed with GGA-PBE.
Kinematic intensities with the Lorentz-polarization factor, no thermal factor.

The 8 most intense peaks (5 to 70 degrees two-theta), low angle first:
| d [Å] | Rel. int. | index |
| --- | --- | --- |
| 3.264 | 24 | 1 3 0 |
| 2.996 | 38 | 0 0 2 |
| 2.866 | 100 | 1 3 1 |
| 2.839 | 49 | 0 6 1 |
| 1.869 | 19 | 1 9 0 |
| 1.704 | 22 | 1 3 3 |
| 1.586 | 22 | 1 9 2 |
| 1.575 | 17 | 2 6 1 |

Atomic structure:
```
data_AcPmEr
_chemical_formula_sum 'Ac4 Pm4 Er4'
_space_group_name_H-M_alt 'C m c m'
_space_group_IT_number 63
_space_group_name_Hall '-C 2c 2'
_cell_length_a 3.784
_cell_length_b 19.346
_cell_length_c 5.992
_cell_angle_alpha 90.00
_cell_angle_beta 90.00
_cell_angle_gamma 90.00
loop_
_atom_site_label
_atom_site_type_symbol
_atom_site_fract_x
_atom_site_fract_y
_atom_site_fract_z
_atom_site_occupancy
Ac1 Ac 0.000 0.219 0.250 1
Pm1 Pm 0.000 0.448 0.750 1
Er1 Er 0.000 0.105 0.750 1
```



7.
# CsZnBi
Computed powder X-ray diffraction pattern, Cu Kα, 1.54184 Å. Input: a crystal structure in Alexandria, relaxed with GGA-PBE.
Kinematic intensities with the Lorentz-polarization factor, no thermal factor.

The 8 most intense peaks (5 to 70 degrees two-theta), low angle first:
| d [Å] | Rel. int. | index |
| --- | --- | --- |
| 3.700 | 100 | 1 1 1 |
| 3.456 | 44 | 1 3 0 |
| 3.329 | 93 | 0 4 1 |
| 3.300 | 50 | 0 0 2 |
| 3.062 | 75 | 1 3 1 |
| 2.387 | 45 | 1 3 2 |
| 1.974 | 36 | 1 1 3 |
| 1.911 | 49 | 2 4 1 |

Atomic structure:
```
data_CsZnBi
_chemical_formula_sum 'Cs4 Zn4 Bi4'
_space_group_name_H-M_alt 'C m c 21'
_space_group_IT_number 36
_cell_length_a 4.669
_cell_length_b 15.423
_cell_length_c 6.600
_cell_angle_alpha 90.00
_cell_angle_beta 90.00
_cell_angle_gamma 90.00
loop_
_space_group_symop_operation_xyz
'x,y,z'
'-x,-y,z+1/2'
'-x,y,z'
'x,-y,z+1/2'
'x+1/2,y+1/2,z'
'-x+1/2,-y+1/2,z+1/2'
'-x+1/2,y+1/2,z'
'x+1/2,-y+1/2,z+1/2'
loop_
_atom_site_label
_atom_site_type_symbol
_atom_site_fract_x
_atom_site_fract_y
_atom_site_fract_z
_atom_site_occupancy
Cs1 Cs 0.000 0.075 0.000 1
Zn1 Zn 0.000 0.230 0.598 1
Bi1 Bi 0.000 0.341 0.941 1
```



8.
# Na3YPb6
Computed powder X-ray diffraction pattern, Cu Kα, 1.54184 Å. Input: a crystal structure in Alexandria, relaxed with GGA-PBE.
Kinematic intensities with the Lorentz-polarization factor, no thermal factor.

The 8 most intense peaks (5 to 70 degrees two-theta), low angle first:
| d [Å] | Rel. int. | index |
| --- | --- | --- |
| 4.899 | 22 | 1 0 -2 |
| 3.447 | 21 | 2 1 1 |
| 2.819 | 100 | 3 1 -1 |
| 2.450 | 17 | 2 0 -4 |
| 2.437 | 33 | 0 2 0 |
| 1.728 | 23 | 2 2 -4 |
| 1.476 | 13 | 5 1 -5 |
| 1.471 | 14 | 3 3 -1 |

Atomic structure:
```
data_Na3YPb6
_chemical_formula_sum 'Na6 Y2 Pb12'
_space_group_name_H-M_alt 'P 1 21/m 1'
_space_group_IT_number 11
_cell_length_a 10.905
_cell_length_b 4.879
_cell_length_c 10.940
_cell_angle_alpha 90.00
_cell_angle_beta 90.33
_cell_angle_gamma 90.00
loop_
_space_group_symop_operation_xyz
'x,y,z'
'-x,-y,-z'
'-x,y+1/2,-z'
'x,-y+1/2,z'
loop_
_atom_site_label
_atom_site_type_symbol
_atom_site_fract_x
_atom_site_fract_y
_atom_site_fract_z
_atom_site_occupancy
Na1 Na 0.003 0.250 0.249 1
Na2 Na 0.205 0.750 0.346 1
Na3 Na 0.402 0.250 0.446 1
Y1 Y 0.385 0.750 0.940 1
Pb1 Pb 0.099 0.250 0.540 1
Pb2 Pb 0.103 0.750 0.046 1
Pb3 Pb 0.188 0.250 0.835 1
Pb4 Pb 0.300 0.750 0.645 1
Pb5 Pb 0.309 0.250 0.144 1
Pb6 Pb 0.498 0.250 0.757 1
```



9.
# Sm2CuHgO5
Computed powder X-ray diffraction pattern, Cu Kα, 1.54184 Å. Input: a crystal structure in Alexandria, relaxed with GGA-PBE.
Kinematic intensities with the Lorentz-polarization factor, no thermal factor.

The 8 most intense peaks (5 to 70 degrees two-theta), low angle first:
| d [Å] | Rel. int. | index |
| --- | --- | --- |
| 3.624 | 28 | 1 1 1 |
| 2.894 | 100 | 2 0 1 |
| 2.758 | 32 | 0 0 2 |
| 2.663 | 39 | 2 1 1 |
| 2.404 | 25 | 2 2 0 |
| 2.150 | 23 | 3 1 0 |
| 2.043 | 27 | 2 1 2 |
| 1.812 | 21 | 2 2 2 |

Atomic structure:
```
data_Sm2CuHgO5
_chemical_formula_sum 'Sm4 Cu2 Hg2 O10'
_space_group_name_H-M_alt 'P 4/m b m'
_space_group_IT_number 127
_space_group_name_Hall '-P 4 2ab'
_cell_length_a 6.800
_cell_length_b 6.800
_cell_length_c 5.516
_cell_angle_alpha 90.00
_cell_angle_beta 90.00
_cell_angle_gamma 90.00
loop_
_atom_site_label
_atom_site_type_symbol
_atom_site_fract_x
_atom_site_fract_y
_atom_site_fract_z
_atom_site_occupancy
Sm1 Sm 0.176 0.324 0.000 1
Cu1 Cu 0.000 0.500 0.500 1
Hg1 Hg 0.000 0.000 0.500 1
O1 O 0.000 0.000 0.000 1
O2 O 0.129 0.629 0.250 1
```



10.
# Cs3DyTa2O8
Computed powder X-ray diffraction pattern, Cu Kα, 1.54184 Å. Input: a crystal structure in Alexandria, relaxed with GGA-PBE.
Kinematic intensities with the Lorentz-polarization factor, no thermal factor.

The 8 most intense peaks (5 to 70 degrees two-theta), low angle first:
| d [Å] | Rel. int. | index |
| --- | --- | --- |
| 3.374 | 91 | 1 0 2 |
| 3.182 | 100 | 1 1 0 |
| 2.315 | 35 | 2 0 2 |
| 1.872 | 34 | 2 1 2 |
| 1.837 | 21 | 3 0 0 |
| 1.772 | 29 | 1 1 4 |
| 1.591 | 16 | 2 2 0 |
| 1.439 | 15 | 1 3 2 |

Atomic structure:
```
data_Cs3DyTa2O8
_chemical_formula_sum 'Cs3 Dy1 Ta2 O8'
_space_group_name_H-M_alt 'P -3 m 1'
_space_group_IT_number 164
_space_group_name_Hall '-P 3 2"'
_cell_length_a 6.3645
_cell_length_b 6.3645
_cell_length_c 8.5323
_cell_angle_alpha 90.00
_cell_angle_beta 90.00
_cell_angle_gamma 120.00
loop_
_atom_site_label
_atom_site_type_symbol
_atom_site_fract_x
_atom_site_fract_y
_atom_site_fract_z
_atom_site_occupancy
Cs1 Cs 0.0000 0.0000 0.0000 1
Cs2 Cs 0.3333 0.6667 0.7274 1
Dy1 Dy 0.0000 0.0000 0.5000 1
Ta1 Ta 0.3333 0.6667 0.2765 1
O1 O 0.1705 0.3409 0.3457 1
O2 O 0.3333 0.6667 0.0627 1
```



11.
# Hf4HgSb
Computed powder X-ray diffraction pattern, Cu Kα, 1.54184 Å. Input: a crystal structure in Alexandria, relaxed with GGA-PBE.
Kinematic intensities with the Lorentz-polarization factor, no thermal factor.

The 8 most intense peaks (5 to 70 degrees two-theta), low angle first:
| d [Å] | Rel. int. | index |
| --- | --- | --- |
| 2.944 | 47 | 2 0 2 |
| 2.672 | 16 | 2 2 0 |
| 2.555 | 51 | 0 4 0 |
| 2.493 | 80 | 0 2 6 |
| 2.267 | 100 | 2 2 4 |
| 1.930 | 28 | 2 4 2 |
| 1.504 | 19 | 2 0 10 |
| 1.413 | 23 | 2 6 4 |

Atomic structure:
```
data_Hf4HgSb
_chemical_formula_sum 'Hf32 Hg8 Sb8'
_space_group_name_H-M_alt 'F d d d'
_space_group_IT_number 70
_cell_length_a 6.270
_cell_length_b 10.221
_cell_length_c 17.135
_cell_angle_alpha 90.00
_cell_angle_beta 90.00
_cell_angle_gamma 90.00
loop_
_space_group_symop_operation_xyz
'x,y,z'
'-x,-y,-z'
'-x+1/4,-y+1/4,z'
'x+1/4,y+1/4,-z'
'x,-y+1/4,-z+1/4'
'-x,y+1/4,z+1/4'
'-x+1/4,y,-z+1/4'
'x+1/4,-y,z+1/4'
'x,y+1/2,z+1/2'
'-x,-y+1/2,-z+1/2'
'-x+1/4,-y+3/4,z+1/2'
'x+1/4,y+3/4,-z+1/2'
'x,-y+3/4,-z+3/4'
'-x,y+3/4,z+3/4'
'-x+1/4,y+1/2,-z+3/4'
'x+1/4,-y+1/2,z+3/4'
'x+1/2,y,z+1/2'
'-x+1/2,-y,-z+1/2'
'-x+3/4,-y+1/4,z+1/2'
'x+3/4,y+1/4,-z+1/2'
'x+1/2,-y+1/4,-z+3/4'
'-x+1/2,y+1/4,z+3/4'
'-x+3/4,y,-z+3/4'
'x+3/4,-y,z+3/4'
'x+1/2,y+1/2,z'
'-x+1/2,-y+1/2,-z'
'-x+3/4,-y+3/4,z'
'x+3/4,y+3/4,-z'
'x+1/2,-y+3/4,-z+1/4'
'-x+1/2,y+3/4,z+1/4'
'-x+3/4,y+1/2,-z+1/4'
'x+3/4,-y+1/2,z+1/4'
loop_
_atom_site_label
_atom_site_type_symbol
_atom_site_fract_x
_atom_site_fract_y
_atom_site_fract_z
_atom_site_occupancy
Hf1 Hf 0.124 0.374 0.221 1
Hg1 Hg 0.125 0.125 0.625 1
Sb1 Sb 0.125 0.125 0.125 1
```